Record 1
Calculated PXRD pattern
Compound: SrNiGe
Radiation: Cu Ka
Structure: a DFT-relaxed cell (GGA-PBE, Alexandria)
Lines closer than 0.1° are merged.

```
data_SrNiGe
_symmetry_space_group_name_H-M 'P n m a'
_symmetry_Int_Tables_number 62
_symmetry_space_group_name_Hall '-P 2ac 2n'
_cell_length_a 5.7516
_cell_length_b 4.1972
_cell_length_c 11.4122
_cell_angle_alpha 90.00
_cell_angle_beta 90.00
_cell_angle_gamma 90.00
loop_
_atom_site_label
_atom_site_fract_x
_atom_site_fract_y
_atom_site_fract_z
_atom_site_occupancy
Sr1 0.1189 0.2500 0.1432 1
Ni1 0.0999 0.2500 0.4555 1
Ge1 0.1342 0.7500 0.3708 1
```

Principal peaks in the range 10 to 90 degrees two-theta, sorted by position:
(1 0 1), 2θ 17.26, I = 42; (1 1 2), 2θ 30.67, I = 71; (0 0 4), 2θ 31.35, I = 37; (2 0 1), 2θ 32.10, I = 86; (1 1 3), 2θ 35.47, I = 100; (2 0 3), 2θ 39.27, I = 44; (0 2 0), 2θ 43.10, I = 50; (2 2 1), 2θ 54.74, I = 37; (1 1 6), 2θ 55.39, I = 41; (3 1 3), 2θ 58.20, I = 29

=====

Record 2
Calculated PXRD pattern
Compound: PtCI2O
Radiation: Cu Ka
Structure: a DFT-relaxed cell (GGA-PBE, Alexandria)
Lines closer than 0.1° are merged.

```
data_PtCI2O
_symmetry_space_group_name_H-M 'C 1 2/c 1'
_symmetry_Int_Tables_number 15
_symmetry_space_group_name_Hall '-C 2yc'
_cell_length_a 11.7388
_cell_length_b 9.6918
_cell_length_c 13.7135
_cell_angle_alpha 90.00
_cell_angle_beta 113.90
_cell_angle_gamma 90.00
loop_
_atom_site_label
_atom_site_fract_x
_atom_site_fract_y
_atom_site_fract_z
_atom_site_occupancy
Pt1 0.1674 0.0766 0.0807 1
C1 0.1717 0.4442 0.9118 1
I1 0.0612 0.1083 0.4266 1
I2 0.2470 0.2713 0.2275 1
O1 0.0715 0.4573 0.9062 1
```

Principal peaks in the range 10 to 90 degrees two-theta, sorted by position:
(1 1 0), 2θ 12.31, I = 100; (1 1 1), 2θ 15.78, I = 33; (1 1 -2), 2θ 16.03, I = 94; (2 0 -2), 2θ 16.84, I = 33; (1 1 -3), 2θ 21.50, I = 32; (0 2 2), 2θ 23.20, I = 41; (0 2 3), 2θ 28.20, I = 66; (4 0 -2), 2θ 30.49, I = 63; (0 2 4), 2θ 34.04, I = 21; (4 2 1), 2θ 41.58, I = 27

=====

Record 3
Calculated PXRD pattern
Compound: MgZr3Ir2
Radiation: Cu Ka
Structure: a DFT-relaxed cell (GGA-PBE, Alexandria)
Lines closer than 0.1° are merged.

```
data_MgZr3Ir2
_symmetry_space_group_name_H-M 'I b a m'
_symmetry_Int_Tables_number 72
_symmetry_space_group_name_Hall '-I 2 2c'
_cell_length_a 6.4680
_cell_length_b 12.6930
_cell_length_c 6.5821
_cell_angle_alpha 90.00
_cell_angle_beta 90.00
_cell_angle_gamma 90.00
loop_
_atom_site_label
_atom_site_fract_x
_atom_site_fract_y
_atom_site_fract_z
_atom_site_occupancy
Mg1 0.0000 0.0000 0.0000 1
Zr1 0.0000 0.2308 0.2500 1
Zr2 0.0000 0.5000 0.2500 1
Ir1 0.2052 0.3600 0.0000 1
```

Principal peaks in the range 10 to 90 degrees two-theta, sorted by position:
(0 2 0), 2θ 13.95, I = 12; (1 1 0), 2θ 15.38, I = 14; (1 2 1), 2θ 23.85, I = 100; (1 3 2), 2θ 37.30, I = 19; (2 0 2), 2θ 39.05, I = 36; (0 4 2), 2θ 39.45, I = 36; (2 4 0), 2θ 39.80, I = 35; (1 2 3), 2θ 45.96, I = 18; (3 3 0), 2θ 47.29, I = 22; (2 4 4), 2θ 70.77, I = 13